(1)
Computed PXRD pattern
Compound: CeSmHo2As4
Radiation: Cu Kα, 1.54184 Å
Structure: the GGA-PBE geometry in Alexandria
Peak positions follow from Bragg's law for the DFT cell and can differ from measured ones.

Top 10 peaks for 5° ≤ 2θ ≤ 70°, by angle:
2theta, I (rel.), index
26.3, 21, 2 0 0
30.4, 100, 1 1 1
43.5, 75, 0 2 0
51.6, 9, 3 1 1
51.6, 1, 4 0 -2
54.0, 20, 0 0 4
54.1, 7, 4 0 0
63.3, 12, 2 2 2
69.7, 3, 4 0 2
69.8, 1, 5 1 -1

Structural model:
Unit cell a=7.189 b=4.159 c=7.202 alpha=90.00 beta=109.44 gamma=90.00
Space group P2/m (No. 10)
Asymmetric unit:
Ce 0.000 0.000 0.000 x1
Sm 0.000 0.500 0.500 x1
Ho 0.500 0.000 0.500 x1
Ho 0.500 0.500 0.000 x1
As 0.256 0.000 0.754 x2
As 0.256 0.500 0.251 x2

(2)
Computed PXRD pattern
Compound: Sr3Ce2HoAs6
Radiation: Cu Kα, 1.54184 Å
Structure: the GGA-PBE geometry in Alexandria
Peak positions follow from Bragg's law for the DFT cell and can differ from measured ones.

Top 10 peaks for 5° ≤ 2θ ≤ 70°, by angle:
2theta, I (rel.), index
12.4, 12, 0 0 1
25.3, 6, 2 0 0
29.2, 100, 1 3 1
41.6, 35, 2 0 2
42.0, 38, 0 6 0
51.3, 6, 0 0 4
51.9, 20, 4 0 0
60.6, 12, 2 6 2
68.4, 14, 3 3 3
68.9, 17, 4 6 0

Structural model:
Unit cell a=7.456 b=12.923 c=7.545 alpha=90.00 beta=109.25 gamma=90.00
Space group C2/m (No. 12)
Asymmetric unit:
Sr 0.000 0.000 0.000 x2
Sr 0.000 0.334 0.000 x4
Ce 0.000 0.167 0.500 x4
Ho 0.000 0.500 0.500 x2
As 0.240 0.000 0.721 x4
As 0.240 0.333 0.720 x8